This entry pairs a crystal structure of CaTlAuSe with its computed PXRD pattern. Radiation: Cu Kα (weighted mean of Kα1 and Kα2). Structure: a structure optimized by DFT (GGA-PBE).

Atomic structure:
a b c (Å): 4.1277 6.5219 4.1315
angles (deg): 90.00 90.00 90.00
Fractional positions:
Ca  0.0000  0.0000  0.0000
Tl  0.5000  0.5000  0.5033
Au  0.0000  0.5000  0.0034
Se  0.5000  0.0000  0.5000

Principal peaks in the range 10 to 90 degrees two-theta, by angle:
(hkl)  2θ/deg  d/Å  intensity
0 1 0  13.58  6.522  88
0 2 0  27.35  3.261  67
1 0 1  30.62  2.920  100
1 1 1  33.63  2.665  44
1 2 1  41.51  2.175  94
2 0 0  43.85  2.065  38
2 1 0  46.11  1.968  19
2 2 0  52.46  1.744  58
1 4 1  65.56  1.424  30
3 2 1  78.98  1.212  31